The following is a theoretical powder X-ray diffraction pattern of RbSmIn2I6. It was derived from the GGA-PBE geometry in Alexandria, using Cu Kα.
Lines closer than 0.1° are merged.

Structure:
```
data_RbSmIn2I6
_chemical_formula_sum 'Rb1 Sm1 In2 I6'
_cell_length_a 9.172
_cell_length_b 9.172
_cell_length_c 9.172
_cell_angle_alpha 56.57
_cell_angle_beta 56.57
_cell_angle_gamma 56.57
_space_group_name_H-M_alt 'P 1'
_space_group_IT_number 1
_space_group_name_Hall 'P 1'
loop_
_atom_site_label
_atom_site_fract_x
_atom_site_fract_y
_atom_site_fract_z
Rb1 0.000 0.000 0.000
Sm1 0.489 0.489 0.489
In1 0.297 0.297 0.297
In2 0.807 0.807 0.807
I1 0.114 0.674 0.423
I2 0.251 0.584 0.849
I3 0.423 0.114 0.674
I4 0.584 0.849 0.251
I5 0.674 0.423 0.114
I6 0.849 0.251 0.584
```

Most intense lines, 2θ = 10–90°, in order of rising 2θ:
2θ (°)  I (rel.)
12.37  16.7
14.06  29.2
19.41  17.3
23.52  100.0
28.33  17.9
31.08  79.0
35.18  22.4
35.78  50.2
40.94  32.2
48.11  19.2

=====

The following is a theoretical powder X-ray diffraction pattern of RbInSn2I8. It was derived from the GGA-PBE geometry in Alexandria, using Cu Kα.
Lines closer than 0.1° are merged.

Structure:
```
data_RbInSn2I8
_chemical_formula_sum 'Rb1 In1 Sn2 I8'
_cell_length_a 7.390
_cell_length_b 8.223
_cell_length_c 9.360
_cell_angle_alpha 96.85
_cell_angle_beta 99.26
_cell_angle_gamma 99.05
_space_group_name_H-M_alt 'P 1'
_space_group_IT_number 1
_space_group_name_Hall 'P 1'
loop_
_atom_site_label
_atom_site_fract_x
_atom_site_fract_y
_atom_site_fract_z
Rb1 0.000 0.000 0.000
In1 0.000 0.000 0.500
Sn1 0.482 0.604 0.248
Sn2 0.518 0.396 0.752
I1 0.132 0.711 0.366
I2 0.241 0.232 0.364
I3 0.265 0.591 0.952
I4 0.332 0.046 0.757
I5 0.668 0.954 0.243
I6 0.735 0.409 0.048
I7 0.759 0.768 0.636
I8 0.868 0.289 0.634
```

Most intense lines, 2θ = 10–90°, in order of rising 2θ:
2θ (°)  I (rel.)
13.56  33.5
17.54  22.0
22.83  21.6
23.51  23.8
24.95  100.0
26.06  38.2
27.08  21.5
27.33  22.3
30.23  31.2
31.42  40.3

=====

The following is a theoretical powder X-ray diffraction pattern of In2SI. It was derived from the GGA-PBE geometry in Alexandria, using Cu Kα.
Lines closer than 0.1° are merged.

Structure:
```
data_In2SI
_chemical_formula_sum 'In4 S2 I2'
_cell_length_a 4.415
_cell_length_b 5.383
_cell_length_c 11.282
_cell_angle_alpha 89.88
_cell_angle_beta 89.94
_cell_angle_gamma 90.00
_space_group_name_H-M_alt 'P 1'
_space_group_IT_number 1
_space_group_name_Hall 'P 1'
loop_
_atom_site_label
_atom_site_fract_x
_atom_site_fract_y
_atom_site_fract_z
In1 0.250 0.249 0.348
In2 0.250 0.750 0.067
In3 0.750 0.250 0.933
In4 0.750 0.751 0.652
S1 0.250 0.250 0.088
S2 0.750 0.750 0.912
I1 0.250 0.251 0.689
I2 0.750 0.749 0.311
```

Most intense lines, 2θ = 10–90°, in order of rising 2θ:
2θ (°)  I (rel.)
23.66  65.5
26.11  38.7
27.30  100.0
30.61  73.5
31.25  49.3
33.29  61.8
35.52  47.4
40.88  34.6
41.25  29.9
53.70  30.3